For Cs2MnCl6O, a crystal structure in Alexandria, relaxed with PBE+U gives the theoretical X-ray diffraction stick pattern in this record (Cu Kα (weighted mean of Kα1 and Kα2)).
Kinematic intensities with the Lorentz-polarization factor, no thermal factor.

Cell lengths 7.555, 7.555, 7.555 Å; angles 123.56, 123.56, 83.94 degrees
Fractional coordinates of all 10 atoms:
1 Cs 0.250 0.750 0.500
2 Cs 0.750 0.250 0.500
3 Mn 0.000 0.000 0.000
4 Cl 0.207 0.207 0.000
5 Cl 0.234 0.234 0.467
6 Cl 0.234 0.766 0.000
7 Cl 0.766 0.234 0.000
8 Cl 0.766 0.766 0.533
9 Cl 0.793 0.793 0.000
10 O 0.500 0.500 0.000

Most intense lines, 2θ = 15–90°, sorted by position:
23.7°, I = 84.9; 24.9°, I = 35.0; 29.6°, I = 100.0; 31.9°, I = 35.2; 35.5°, I = 58.0; 43.2°, I = 32.8; 48.5°, I = 38.9; 51.1°, I = 18.5; 60.2°, I = 22.5; 61.5°, I = 17.9